No. 1
Calculated X-ray diffraction stick pattern of Cs3Hg4Te2I2 for Cu Kα X-rays, from a GGA-PBE-relaxed structure.
Lines closer than 0.1° are merged.

Atomic structure:
abc: 19.989 19.989 19.989
angles: 163.10 163.10 23.99
Atoms (fractional coordinates):
Cs  0.000  0.000  0.000
Cs  0.203  0.203  0.000
Cs  0.797  0.797  0.000
Hg  0.070  0.570  0.500
Hg  0.430  0.930  0.500
Hg  0.570  0.070  0.500
Hg  0.930  0.430  0.500
Te  0.433  0.433  0.000
Te  0.567  0.567  0.000
I  0.299  0.299  0.000
I  0.701  0.701  0.000

Top 12 peaks for 2θ = 10–80°, by angle:
13.59°, intensity 48; 18.15°, intensity 93; 21.89°, intensity 84; 23.26°, intensity 26; 25.44°, intensity 76; 30.43°, intensity 100; 31.41°, intensity 38; 32.04°, intensity 30; 35.65°, intensity 70; 43.57°, intensity 38; 44.77°, intensity 47; 47.56°, intensity 31


No. 2
Calculated X-ray diffraction stick pattern of Cs2InHg10 for Cu Kα X-rays, from a GGA-PBE-relaxed structure.
Lines closer than 0.1° are merged.

Atomic structure:
abc: 10.973 12.720 7.068
angles: 90.00 90.00 90.00
Atoms (fractional coordinates):
Cs  0.247  0.066  0.000
Cs  0.253  0.566  0.000
Cs  0.747  0.434  0.000
Cs  0.753  0.934  0.000
In  0.000  0.500  0.500
In  0.500  0.000  0.500
Hg  0.047  0.125  0.500
Hg  0.065  0.316  0.213
Hg  0.065  0.316  0.787
Hg  0.178  0.697  0.500
Hg  0.229  0.933  0.500
Hg  0.271  0.433  0.500
Hg  0.322  0.197  0.500
Hg  0.435  0.816  0.213
Hg  0.435  0.816  0.787
Hg  0.453  0.625  0.500
Hg  0.547  0.375  0.500
Hg  0.565  0.184  0.213
Hg  0.565  0.184  0.787
Hg  0.678  0.803  0.500
Hg  0.729  0.567  0.500
Hg  0.771  0.067  0.500
Hg  0.822  0.303  0.500
Hg  0.935  0.684  0.213
Hg  0.935  0.684  0.787
Hg  0.953  0.875  0.500

Top 12 peaks for 2θ = 10–80°, by angle:
12.52°, intensity 100; 30.07°, intensity 45; 30.91°, intensity 78; 31.92°, intensity 71; 33.41°, intensity 56; 34.02°, intensity 37; 34.79°, intensity 26; 36.25°, intensity 33; 38.13°, intensity 28; 38.98°, intensity 26; 41.42°, intensity 25; 66.72°, intensity 26


No. 3
Calculated X-ray diffraction stick pattern of Cs2In2Hg5 for Cu Kα X-rays, from a GGA-PBE-relaxed structure.
Lines closer than 0.1° are merged.

Atomic structure:
abc: 5.822 5.822 9.803
angles: 90.00 90.00 93.07
Atoms (fractional coordinates):
Cs  0.000  0.000  0.000
Cs  0.000  0.000  0.500
In  0.500  0.500  0.161
In  0.500  0.500  0.839
Hg  0.000  0.500  0.244
Hg  0.000  0.500  0.756
Hg  0.500  0.000  0.244
Hg  0.500  0.000  0.756
Hg  0.500  0.500  0.500

Top 12 peaks for 2θ = 10–80°, by angle:
18.10°, intensity 15; 27.88°, intensity 76; 28.79°, intensity 71; 30.76°, intensity 100; 31.40°, intensity 16; 36.67°, intensity 17; 42.80°, intensity 20; 45.29°, intensity 17; 48.59°, intensity 32; 52.40°, intensity 27; 54.02°, intensity 25; 77.62°, intensity 14


No. 4
Calculated X-ray diffraction stick pattern of CsInHg10 for Cu Kα X-rays, from a GGA-PBE-relaxed structure.
Lines closer than 0.1° are merged.

Atomic structure:
abc: 5.607 6.361 10.816
angles: 90.00 90.00 90.00
Atoms (fractional coordinates):
Cs  0.000  0.000  0.000
In  0.000  0.500  0.500
Hg  0.000  0.000  0.351
Hg  0.000  0.000  0.649
Hg  0.000  0.500  0.200
Hg  0.000  0.500  0.800
Hg  0.500  0.000  0.500
Hg  0.500  0.250  0.253
Hg  0.500  0.250  0.747
Hg  0.500  0.500  0.000
Hg  0.500  0.750  0.253
Hg  0.500  0.750  0.747

Top 12 peaks for 2θ = 10–80°, by angle:
16.17°, intensity 30; 16.39°, intensity 19; 31.92°, intensity 58; 32.36°, intensity 46; 32.70°, intensity 100; 36.48°, intensity 63; 36.91°, intensity 21; 46.32°, intensity 17; 52.67°, intensity 21; 57.39°, intensity 16; 59.89°, intensity 16; 68.56°, intensity 18


No. 5
Calculated X-ray diffraction stick pattern of CsIn4Hg2 for Cu Kα X-rays, from a GGA-PBE-relaxed structure.
Lines closer than 0.1° are merged.

Atomic structure:
abc: 10.987 10.987 10.987
angles: 26.80 26.80 26.80
Atoms (fractional coordinates):
Cs  0.000  0.000  0.000
In  0.147  0.147  0.147
In  0.442  0.442  0.442
In  0.558  0.558  0.558
In  0.853  0.853  0.853
Hg  0.256  0.256  0.256
Hg  0.744  0.744  0.744

Top 12 peaks for 2θ = 10–80°, by angle:
23.07°, intensity 36; 28.22°, intensity 79; 30.29°, intensity 23; 34.81°, intensity 47; 35.24°, intensity 100; 45.74°, intensity 21; 49.68°, intensity 14; 50.39°, intensity 27; 59.03°, intensity 21; 62.97°, intensity 22; 63.24°, intensity 18; 74.52°, intensity 11


No. 6
Calculated X-ray diffraction stick pattern of Cs3In2Hg6 for Cu Kα X-rays, from a GGA-PBE-relaxed structure.
Lines closer than 0.1° are merged.

Atomic structure:
abc: 16.599 16.599 16.599
angles: 160.68 160.68 27.46
Atoms (fractional coordinates):
Cs  0.000  0.000  0.000
Cs  0.171  0.171  0.000
Cs  0.829  0.829  0.000
In  0.390  0.390  0.000
In  0.610  0.610  0.000
Hg  0.085  0.585  0.500
Hg  0.289  0.289  0.000
Hg  0.415  0.915  0.500
Hg  0.585  0.085  0.500
Hg  0.711  0.711  0.000
Hg  0.915  0.415  0.500

Top 12 peaks for 2θ = 10–80°, by angle:
10.97°, intensity 30; 23.24°, intensity 66; 25.11°, intensity 61; 27.66°, intensity 24; 28.08°, intensity 89; 29.64°, intensity 34; 32.13°, intensity 100; 40.64°, intensity 27; 42.90°, intensity 30; 46.08°, intensity 37; 54.83°, intensity 28; 56.40°, intensity 33


No. 7
Calculated X-ray diffraction stick pattern of Cs2In7Hg12 for Cu Kα X-rays, from a GGA-PBE-relaxed structure.
Lines closer than 0.1° are merged.

Atomic structure:
abc: 11.607 11.607 5.479
angles: 90.00 90.00 120.00
Atoms (fractional coordinates):
Cs  0.333  0.667  0.275
Cs  0.667  0.333  0.725
In  0.000  0.000  0.000
In  0.115  0.750  0.811
In  0.250  0.365  0.811
In  0.365  0.115  0.189
In  0.635  0.885  0.811
In  0.750  0.635  0.189
In  0.885  0.250  0.189
Hg  0.054  0.466  0.743
Hg  0.107  0.856  0.314
Hg  0.144  0.251  0.314
Hg  0.251  0.107  0.686
Hg  0.412  0.946  0.743
Hg  0.466  0.412  0.257
Hg  0.534  0.588  0.743
Hg  0.588  0.054  0.257
Hg  0.749  0.893  0.314
Hg  0.856  0.749  0.686
Hg  0.893  0.144  0.686
Hg  0.946  0.534  0.257

Top 12 peaks for 2θ = 10–80°, by angle:
28.59°, intensity 100; 30.81°, intensity 23; 32.11°, intensity 20; 32.69°, intensity 27; 36.15°, intensity 51; 39.06°, intensity 19; 40.60°, intensity 16; 42.56°, intensity 15; 46.48°, intensity 12; 48.22°, intensity 19; 55.86°, intensity 12; 67.45°, intensity 12


No. 8
Calculated X-ray diffraction stick pattern of CsInHg5 for Cu Kα X-rays, from a GGA-PBE-relaxed structure.
Lines closer than 0.1° are merged.

Atomic structure:
abc: 6.918 6.918 6.064
angles: 115.60 115.60 72.10
Atoms (fractional coordinates):
Cs  0.000  0.000  0.000
In  0.500  0.500  0.500
Hg  0.008  0.398  0.702
Hg  0.398  0.008  0.702
Hg  0.500  0.500  0.000
Hg  0.602  0.992  0.298
Hg  0.992  0.602  0.298

Top 12 peaks for 2θ = 10–80°, by angle:
18.24°, intensity 15; 28.03°, intensity 36; 28.94°, intensity 100; 29.46°, intensity 81; 30.41°, intensity 15; 31.88°, intensity 30; 32.13°, intensity 29; 36.26°, intensity 33; 38.07°, intensity 15; 41.64°, intensity 38; 41.90°, intensity 37; 55.82°, intensity 14


No. 9
Calculated X-ray diffraction stick pattern of Cs2In4Hg9 for Cu Kα X-rays, from a GGA-PBE-relaxed structure.
Lines closer than 0.1° are merged.

Atomic structure:
abc: 5.124 5.124 21.942
angles: 90.00 90.00 120.00
Atoms (fractional coordinates):
Cs  0.333  0.667  0.261
Cs  0.667  0.333  0.739
In  0.333  0.667  0.592
In  0.333  0.667  0.899
In  0.667  0.333  0.101
In  0.667  0.333  0.408
Hg  0.000  0.000  0.000
Hg  0.000  0.000  0.154
Hg  0.000  0.000  0.372
Hg  0.000  0.000  0.628
Hg  0.000  0.000  0.846
Hg  0.333  0.667  0.055
Hg  0.333  0.667  0.456
Hg  0.667  0.333  0.544
Hg  0.667  0.333  0.945

Top 12 peaks for 2θ = 10–80°, by angle:
25.83°, intensity 20; 28.61°, intensity 49; 31.71°, intensity 37; 35.03°, intensity 100; 36.00°, intensity 9; 38.59°, intensity 14; 45.82°, intensity 15; 47.96°, intensity 12; 58.96°, intensity 13; 60.76°, intensity 12; 62.84°, intensity 25; 74.02°, intensity 12


No. 10
Calculated X-ray diffraction stick pattern of CsIn12Hg4 for Cu Kα X-rays, from a GGA-PBE-relaxed structure.
Lines closer than 0.1° are merged.

Atomic structure:
abc: 8.833 8.833 8.833
angles: 109.47 109.47 109.47
Atoms (fractional coordinates):
Cs  0.000  0.000  0.000
In  0.153  0.509  0.356
In  0.153  0.797  0.644
In  0.203  0.356  0.847
In  0.356  0.153  0.509
In  0.356  0.847  0.203
In  0.491  0.644  0.847
In  0.509  0.356  0.153
In  0.644  0.153  0.797
In  0.644  0.847  0.491
In  0.797  0.644  0.153
In  0.847  0.203  0.356
In  0.847  0.491  0.644
Hg  0.000  0.000  0.500
Hg  0.000  0.500  0.000
Hg  0.500  0.000  0.000
Hg  0.500  0.500  0.500

Top 12 peaks for 2θ = 10–80°, by angle:
17.39°, intensity 24; 24.69°, intensity 46; 27.66°, intensity 100; 32.86°, intensity 36; 39.51°, intensity 67; 43.47°, intensity 63; 45.34°, intensity 42; 57.12°, intensity 22; 61.68°, intensity 14; 63.16°, intensity 17; 66.06°, intensity 13; 79.79°, intensity 19


No. 11
Calculated X-ray diffraction stick pattern of Cs3In4Hg2 for Cu Kα X-rays, from a GGA-PBE-relaxed structure.
Lines closer than 0.1° are merged.

Atomic structure:
abc: 5.202 7.677 10.610
angles: 97.48 103.98 109.77
Atoms (fractional coordinates):
Cs  0.000  0.000  0.000
Cs  0.255  0.871  0.640
Cs  0.745  0.129  0.360
In  0.345  0.614  0.072
In  0.466  0.562  0.371
In  0.534  0.438  0.629
In  0.655  0.386  0.928
Hg  0.071  0.385  0.759
Hg  0.929  0.615  0.241

Top 12 peaks for 2θ = 10–80°, by angle:
12.60°, intensity 51; 23.43°, intensity 35; 24.83°, intensity 58; 26.75°, intensity 100; 28.81°, intensity 30; 34.48°, intensity 54; 35.00°, intensity 25; 35.11°, intensity 25; 37.01°, intensity 25; 37.10°, intensity 25; 42.96°, intensity 27; 49.03°, intensity 35


No. 12
Calculated X-ray diffraction stick pattern of Cs3InHg4 for Cu Kα X-rays, from a GGA-PBE-relaxed structure.
Lines closer than 0.1° are merged.

Atomic structure:
abc: 8.270 8.270 8.270
angles: 125.29 80.31 126.20
Atoms (fractional coordinates):
Cs  0.000  0.000  0.000
Cs  0.576  0.270  0.306
Cs  0.964  0.270  0.694
In  0.262  0.762  0.500
Hg  0.013  0.755  0.257
Hg  0.498  0.755  0.743
Hg  0.501  0.310  0.809
Hg  0.501  0.691  0.191

Top 12 peaks for 2θ = 10–80°, by angle:
13.75°, intensity 35; 23.41°, intensity 29; 24.19°, intensity 51; 27.25°, intensity 38; 27.38°, intensity 42; 27.49°, intensity 51; 27.71°, intensity 100; 28.24°, intensity 55; 33.61°, intensity 53; 44.46°, intensity 29; 44.88°, intensity 29; 48.69°, intensity 32